Starting from a cell relaxed with PBE, the PXRD pattern of Rb3GaCl6 was simulated for CuKα.
Kinematic intensities with the Lorentz-polarization factor, no thermal factor.

Crystal structure
```
data_Rb3GaCl6
_cell_length_a 10.982
_cell_length_b 10.982
_cell_length_c 10.982
_cell_angle_alpha 90.00
_cell_angle_beta 90.00
_cell_angle_gamma 90.00
_symmetry_space_group_name_H-M 'F m -3 m'
_symmetry_Int_Tables_number 225
_symmetry_space_group_name_Hall '-F 4 2 3'
loop_
_atom_site_label
_atom_site_fract_x
_atom_site_fract_y
_atom_site_fract_z
Rb1 0.000 0.000 0.000
Rb2 0.250 0.250 0.250
Ga1 0.000 0.000 0.500
Cl1 0.000 0.000 0.282
```

Most intense lines, 10 to 80 degrees two-theta, by angle:
two_theta  intensity
22.90  100
32.62  77
40.23  40
46.80  48
52.72  27
63.38  27